This entry pairs a crystal structure of Pm2TmHfP4 with its simulated X-ray diffraction stick pattern. Radiation: Cu Ka. Structure: DFT lattice parameters and positions (PBE).
Lines closer than 0.1° are merged.

Atomic structure:
```
data_Pm2TmHfP4
_chemical_formula_sum 'Pm2 Tm1 Hf1 P4'
_space_group_name_H-M_alt 'P 1'
_space_group_IT_number 1
_cell_length_a 6.8605
_cell_length_b 3.9572
_cell_length_c 6.8814
_cell_angle_alpha 90.00
_cell_angle_beta 109.23
_cell_angle_gamma 90.00
loop_
_space_group_symop_operation_xyz
'x,y,z'
loop_
_atom_site_label
_atom_site_type_symbol
_atom_site_fract_x
_atom_site_fract_y
_atom_site_fract_z
Pm1 Pm 0.0000 0.0000 0.0000
Pm2 Pm 0.5000 0.5000 0.0000
Tm1 Tm 0.0000 0.5000 0.5000
Hf1 Hf 0.5000 0.0000 0.5000
P1 P 0.2524 0.0000 0.7320
P2 P 0.2651 0.5000 0.2726
P3 P 0.7349 0.5000 0.7274
P4 P 0.7476 0.0000 0.2680
```

Largest 6 diffraction maxima, sorted by position, 10° ≤ 2θ ≤ 90°:
27.50 deg, rel. 44.5, hkl 0 0 2; 27.60 deg, rel. 43.8, hkl 1 1 -1; 31.92 deg, rel. 100.0, hkl 1 1 1; 45.72 deg, rel. 24.0, hkl 1 1 -3; 45.84 deg, rel. 36.3, hkl 0 2 0; 54.33 deg, rel. 17.8, hkl 3 1 -3